The following is a calculated X-ray powder pattern of Na3Sc3WO8. It was derived from a DFT-relaxed cell (PBE+U, Alexandria), using CuKα.
Peak positions follow from Bragg's law for the DFT cell and can differ from measured ones.

Cell and atoms:
Cell lengths 11.089, 6.349, 6.649 Å; angles 90.00, 123.54, 90.00 degrees
Space group C2/m (No. 12)
Symmetry-distinct sites (fractional):
Na 0.000 0.000 0.000 [2 per cell]
Na 0.250 0.250 0.000 [4 per cell]
Sc 0.000 0.500 0.500 [2 per cell]
Sc 0.250 0.250 0.500 [4 per cell]
W 0.000 0.000 0.500 [2 per cell]
O 0.016 0.241 0.306 [8 per cell]
O 0.231 0.000 0.695 [4 per cell]
O 0.232 0.500 0.699 [4 per cell]

Top 8 peaks for 2θ from 10° to 90°, low angle first:
5.542 Å, intensity 100, hkl 0 0 1; 5.240 Å, intensity 78, hkl 1 1 0; 2.771 Å, intensity 28, hkl 0 0 2; 2.617 Å, intensity 23, hkl 2 2 0; 2.311 Å, intensity 31, hkl 4 0 0; 2.294 Å, intensity 61, hkl 2 2 -2; 1.660 Å, intensity 27, hkl 2 2 2; 1.597 Å, intensity 23, hkl 6 2 -2